The following is a calculated powder diffractogram of TlCoSeO. It was derived from a GGA+U-relaxed structure, using Cu Ka.

Top 12 peaks for 2θ from 10° to 80°, by angle:
Position (°2θ)  intensity  (hkl)
19.4  45  0 1 1
22.1  78  1 0 0
23.7  85  0 2 0
25.1  55  1 1 0
29.6  76  1 1 1
31.0  90  0 0 2
32.6  100  1 2 0
38.4  57  1 0 2
39.4  49  0 2 2
42.5  41  1 3 0
45.6  74  1 2 2
53.5  40  1 3 2

Atomic structure:
```
data_TlCoSeO
_chemical_formula_sum 'Tl2 Co2 Se2 O2'
_space_group_name_H-M_alt 'P m c 21'
_space_group_IT_number 26
_space_group_name_Hall 'P 2c -2'
_cell_length_a 4.014
_cell_length_b 7.521
_cell_length_c 5.770
_cell_angle_alpha 90.00
_cell_angle_beta 90.00
_cell_angle_gamma 90.00
loop_
_atom_site_label
_atom_site_fract_x
_atom_site_fract_y
_atom_site_fract_z
Tl1 0.000 0.205 0.000
Co1 0.500 0.394 0.418
Se1 0.000 0.213 0.506
O1 0.500 0.386 0.078
```

The following is a calculated powder diffractogram of ZnCoSeO. It was derived from a GGA+U-relaxed structure, using Cu Ka.

Top 12 peaks for 2θ from 10° to 80°, by angle:
Position (°2θ)  intensity  (hkl)
29.2  100  0 1 2
29.5  56  1 0 2
31.9  87  0 2 1
33.7  62  2 1 0
35.4  59  1 2 1
36.1  90  2 1 1
41.1  33  0 1 3
42.6  77  2 1 2
48.8  29  0 2 3
51.9  32  0 0 4
54.2  33  1 3 2
55.5  39  3 1 2

Atomic structure:
```
data_ZnCoSeO
_chemical_formula_sum 'Zn4 Co4 Se4 O4'
_space_group_name_H-M_alt 'P 21 21 21'
_space_group_IT_number 19
_space_group_name_Hall 'P 2ac 2ab'
_cell_length_a 5.905
_cell_length_b 6.124
_cell_length_c 7.054
_cell_angle_alpha 90.00
_cell_angle_beta 90.00
_cell_angle_gamma 90.00
loop_
_atom_site_label
_atom_site_fract_x
_atom_site_fract_y
_atom_site_fract_z
Zn1 0.104 0.164 0.143
Co1 0.212 0.314 0.565
Se1 0.023 0.409 0.876
O1 0.013 0.847 0.138
```

The following is a calculated powder diffractogram of ZnCoSeO. It was derived from a GGA+U-relaxed structure, using Cu Ka.

Top 12 peaks for 2θ from 10° to 80°, by angle:
Position (°2θ)  intensity  (hkl)
20.1  74  1 1 0
23.7  65  1 1 1
28.4  33  0 2 1
29.7  54  1 0 2
29.9  73  1 2 0
32.4  61  1 1 2
32.5  42  1 2 1
40.3  35  0 1 3
42.7  100  2 1 2
42.8  33  2 2 1
43.8  47  1 3 1
56.6  39  3 2 1

Atomic structure:
```
data_ZnCoSeO
_chemical_formula_sum 'Zn4 Co4 Se4 O4'
_space_group_name_H-M_alt 'P 21 21 21'
_space_group_IT_number 19
_space_group_name_Hall 'P 2ac 2ab'
_cell_length_a 5.701
_cell_length_b 7.014
_cell_length_c 7.077
_cell_angle_alpha 90.00
_cell_angle_beta 90.00
_cell_angle_gamma 90.00
loop_
_atom_site_label
_atom_site_fract_x
_atom_site_fract_y
_atom_site_fract_z
Zn1 0.049 0.150 0.058
Co1 0.018 0.565 0.877
Se1 0.227 0.873 0.861
O1 0.216 0.364 0.946
```

The following is a calculated powder diffractogram of ZnCoSeO. It was derived from a GGA+U-relaxed structure, using Cu Ka.

Top 12 peaks for 2θ from 10° to 80°, by angle:
Position (°2θ)  intensity  (hkl)
27.9  12  0 0 4
31.2  33  2 0 0
32.0  14  2 0 1
33.1  100  0 1 3
36.8  10  1 1 3
38.5  9  1 0 5
41.3  10  2 1 1
42.3  11  0 0 6
43.8  10  0 1 5
46.2  35  2 1 3
52.4  18  0 2 0
56.8  23  0 1 7

Atomic structure:
```
data_ZnCoSeO
_chemical_formula_sum 'Zn4 Co4 Se4 O4'
_space_group_name_H-M_alt 'P n m a'
_space_group_IT_number 62
_space_group_name_Hall '-P 2ac 2n'
_cell_length_a 5.734
_cell_length_b 3.494
_cell_length_c 12.801
_cell_angle_alpha 90.00
_cell_angle_beta 90.00
_cell_angle_gamma 90.00
loop_
_atom_site_label
_atom_site_fract_x
_atom_site_fract_y
_atom_site_fract_z
Zn1 0.198 0.250 0.096
Co1 0.121 0.750 0.309
Se1 0.233 0.750 0.925
O1 0.222 0.250 0.675
```

The following is a calculated powder diffractogram of Sm2Co2O5. It was derived from a GGA+U-relaxed structure, using Cu Ka.

Top 12 peaks for 2θ from 10° to 80°, by angle:
Position (°2θ)  intensity  (hkl)
23.0  20  1 0 0
32.7  49  1 1 0
34.1  100  1 0 2
41.5  24  1 1 2
47.0  31  2 0 0
51.0  10  0 0 4
59.3  40  2 1 2
61.9  15  1 1 4
68.6  9  2 2 0
71.8  13  2 0 4
78.1  8  3 1 0
78.9  9  3 0 2

Atomic structure:
```
data_Sm2Co2O5
_chemical_formula_sum 'Sm2 Co2 O5'
_space_group_name_H-M_alt 'P 4/m m m'
_space_group_IT_number 123
_space_group_name_Hall '-P 4 2'
_cell_length_a 3.870
_cell_length_b 3.870
_cell_length_c 7.161
_cell_angle_alpha 90.00
_cell_angle_beta 90.00
_cell_angle_gamma 90.00
loop_
_atom_site_label
_atom_site_fract_x
_atom_site_fract_y
_atom_site_fract_z
Sm1 0.000 0.000 0.000
Sm2 0.000 0.000 0.500
Co1 0.500 0.500 0.222
O1 0.000 0.500 0.215
O2 0.500 0.500 0.500
```

The following is a calculated powder diffractogram of CoSn2O4. It was derived from a GGA+U-relaxed structure, using Cu Ka.

Top 12 peaks for 2θ from 10° to 80°, by angle:
Position (°2θ)  intensity  (hkl)
16.7  37  1 1 1
27.5  11  2 2 0
32.3  100  3 1 1
33.8  34  2 2 2
39.2  33  4 0 0
42.9  10  3 3 1
51.7  37  5 1 1
56.7  48  4 4 0
59.5  9  5 3 1
66.8  12  5 3 3
67.7  18  6 2 2
71.1  7  4 4 4

Atomic structure:
Cell: 9.186 9.186 9.186 Å, 90.00 90.00 90.00°
Space group Fd-3m (No. 227, origin choice 2)
One atom of each set of equivalent atoms:
Co: 0.125 0.125 0.125
Sn: 0.000 0.000 0.500
O: 0.004 0.004 0.746

The following is a calculated powder diffractogram of CoSnTeO. It was derived from a GGA+U-relaxed structure, using Cu Ka.

Top 12 peaks for 2θ from 10° to 80°, by angle:
Position (°2θ)  intensity  (hkl)
25.7  22  0 4 0
28.5  41  0 0 2
29.3  100  1 3 0
36.9  33  1 1 2
38.7  25  0 4 2
41.4  51  1 3 2
44.8  20  2 0 0
49.0  11  0 6 2
51.4  16  1 7 0
54.0  14  2 0 2
59.8  17  1 7 2
60.7  13  2 4 2

Atomic structure:
```
data_CoSnTeO
_chemical_formula_sum 'Co4 Sn4 Te4 O4'
_space_group_name_H-M_alt 'C m c 21'
_space_group_IT_number 36
_space_group_name_Hall 'C 2c -2'
_cell_length_a 4.044
_cell_length_b 13.865
_cell_length_c 6.265
_cell_angle_alpha 90.00
_cell_angle_beta 90.00
_cell_angle_gamma 90.00
loop_
_atom_site_label
_atom_site_fract_x
_atom_site_fract_y
_atom_site_fract_z
Co1 0.000 0.042 0.000
Sn1 0.000 0.342 0.850
Te1 0.000 0.353 0.347
O1 0.000 0.071 0.313
```

The following is a calculated powder diffractogram of CoSnTeO. It was derived from a GGA+U-relaxed structure, using Cu Ka.

Top 12 peaks for 2θ from 10° to 80°, by angle:
Position (°2θ)  intensity  (hkl)
21.9  32  1 1 1
25.5  39  1 0 2
26.6  100  0 2 1
28.3  80  1 1 2
30.0  38  2 0 0
30.6  37  1 2 1
32.5  42  2 1 0
34.2  33  2 1 1
39.9  71  0 2 3
41.8  26  0 0 4
45.5  37  2 1 3
50.7  26  2 2 3

Atomic structure:
```
data_CoSnTeO
_chemical_formula_sum 'Co4 Sn4 Te4 O4'
_space_group_name_H-M_alt 'P 21 21 21'
_space_group_IT_number 19
_space_group_name_Hall 'P 2ac 2ab'
_cell_length_a 5.953
_cell_length_b 7.281
_cell_length_c 8.651
_cell_angle_alpha 90.00
_cell_angle_beta 90.00
_cell_angle_gamma 90.00
loop_
_atom_site_label
_atom_site_fract_x
_atom_site_fract_y
_atom_site_fract_z
Co1 0.028 0.101 0.080
Sn1 0.080 0.143 0.391
Te1 0.085 0.380 0.887
O1 0.114 0.857 0.015
```

The following is a calculated powder diffractogram of SrCo6O11. It was derived from a GGA+U-relaxed structure, using Cu Ka.

Top 12 peaks for 2θ from 10° to 80°, by angle:
Position (°2θ)  intensity  (hkl)
28.3  28  0 0 4
32.0  46  1 1 0
34.0  97  1 0 4
35.1  100  1 1 2
37.1  17  2 0 0
39.9  57  2 0 2
43.1  28  2 0 3
58.2  72  2 0 6
58.3  48  2 1 4
59.1  20  3 0 2
67.0  43  2 2 0
77.2  17  3 1 4

Atomic structure:
```
data_SrCo6O11
_chemical_formula_sum 'Sr2 Co12 O22'
_space_group_name_H-M_alt 'P 63/m m c'
_space_group_IT_number 194
_space_group_name_Hall '-P 6c 2c'
_cell_length_a 5.5895
_cell_length_b 5.5895
_cell_length_c 12.6000
_cell_angle_alpha 90.00
_cell_angle_beta 90.00
_cell_angle_gamma 120.00
loop_
_atom_site_label
_atom_site_fract_x
_atom_site_fract_y
_atom_site_fract_z
Sr1 0.3333 0.6667 0.2500
Co1 0.0000 0.0000 0.1487
Co2 0.0000 0.5000 0.0000
Co3 0.3333 0.6667 0.7500
O1 0.1436 0.2872 0.7500
O2 0.1757 0.3514 0.0795
O3 0.3333 0.6667 0.5801
```

The following is a calculated powder diffractogram of SrCoO2. It was derived from a GGA+U-relaxed structure, using Cu Ka.

Top 12 peaks for 2θ from 10° to 80°, by angle:
Position (°2θ)  intensity  (hkl)
15.0  7  0 0 3
29.0  100  1 0 2
30.2  17  0 0 6
34.0  39  0 1 4
37.3  7  1 0 5
48.0  30  1 1 0
49.6  20  1 0 8
57.0  14  0 2 2
57.7  16  1 1 6
59.2  15  0 1 10
60.1  8  2 0 4
77.6  10  2 1 2

Atomic structure:
```
data_SrCoO2
_chemical_formula_sum 'Sr3 Co3 O6'
_space_group_name_H-M_alt 'P 32 2 1'
_space_group_IT_number 154
_space_group_name_Hall 'P 32 2"'
_cell_length_a 3.7940
_cell_length_b 3.7940
_cell_length_c 17.7439
_cell_angle_alpha 90.00
_cell_angle_beta 90.00
_cell_angle_gamma 120.00
loop_
_atom_site_label
_atom_site_fract_x
_atom_site_fract_y
_atom_site_fract_z
Sr1 0.0000 0.3289 0.3333
Co1 0.0000 0.3360 0.8333
O1 0.0045 0.3380 0.9311
```